Computed XRD peak list of NaAsSe4 for Cu Kα, 1.54184 Å, from a DFT-relaxed cell (GGA-PBE, Alexandria).

Largest 12 diffraction maxima, sorted by position, 2θ = 10–80°:
- 2θ 10.8, I 100
- 2θ 18.1, I 79
- 2θ 21.7, I 72
- 2θ 23.8, I 51
- 2θ 30.2, I 59
- 2θ 31.0, I 67
- 2θ 32.3, I 70
- 2θ 37.5, I 64
- 2θ 40.0, I 35
- 2θ 43.1, I 32
- 2θ 44.2, I 33
- 2θ 48.8, I 67

Structure:
```
data_NaAsSe4
_chemical_formula_sum 'Na2 As2 Se8'
_symmetry_space_group_name_H-M 'P 1 2/c 1'
_symmetry_Int_Tables_number 13
_cell_length_a 8.681
_cell_length_b 4.056
_cell_length_c 10.153
_cell_angle_alpha 90.00
_cell_angle_beta 109.12
_cell_angle_gamma 90.00
loop_
_symmetry_equiv_pos_as_xyz
'x,y,z'
'-x,-y,-z'
'-x,y,-z+1/2'
'x,-y,z+1/2'
loop_
_atom_site_label
_atom_site_type_symbol
_atom_site_fract_x
_atom_site_fract_y
_atom_site_fract_z
_atom_site_occupancy
Na1 Na 0.000 0.236 0.250 1
As1 As 0.500 0.000 0.000 1
Se1 Se 0.267 0.241 0.778 1
Se2 Se 0.286 0.477 0.006 1
```

=====

Computed XRD peak list of Na5SnAs3 for Cu Kα, 1.54184 Å, from a DFT-relaxed cell (GGA-PBE, Alexandria).

Largest 12 diffraction maxima, sorted by position, 2θ = 10–80°:
- 2θ 12.1, I 100
- 2θ 15.4, I 43
- 2θ 16.7, I 43
- 2θ 21.9, I 45
- 2θ 23.2, I 53
- 2θ 32.1, I 59
- 2θ 32.2, I 57
- 2θ 36.6, I 48
- 2θ 36.8, I 49
- 2θ 37.0, I 56
- 2θ 39.3, I 69
- 2θ 41.0, I 41

Structure:
```
data_Na5SnAs3
_chemical_formula_sum 'Na20 Sn4 As12'
_symmetry_space_group_name_H-M 'P 1 21/c 1'
_symmetry_Int_Tables_number 14
_cell_length_a 8.632
_cell_length_b 7.681
_cell_length_c 16.174
_cell_angle_alpha 90.00
_cell_angle_beta 121.80
_cell_angle_gamma 90.00
loop_
_symmetry_equiv_pos_as_xyz
'x,y,z'
'-x,-y,-z'
'-x,y+1/2,-z+1/2'
'x,-y+1/2,z+1/2'
loop_
_atom_site_label
_atom_site_type_symbol
_atom_site_fract_x
_atom_site_fract_y
_atom_site_fract_z
_atom_site_occupancy
Na1 Na 0.007 0.160 0.083 1
Na2 Na 0.092 0.005 0.758 1
Na3 Na 0.252 0.524 0.086 1
Na4 Na 0.314 0.641 0.743 1
Na5 Na 0.412 0.041 0.089 1
Sn1 Sn 0.340 0.148 0.410 1
As1 As 0.060 0.231 0.917 1
As2 As 0.330 0.706 0.929 1
As3 As 0.363 0.248 0.261 1
```